Entry 1:
# DyNi4Ag
Theoretical XRD peak list, Cu Kα (weighted mean of Kα1 and Kα2). Input: a crystal structure in Alexandria, relaxed with GGA-PBE.
Kinematic intensities with the Lorentz-polarization factor, no thermal factor.

Top 10 peaks for 2θ = 10–90°, low angle first:
| 2θ/deg | d [Å] | I_rel | hkl |
| --- | --- | --- | --- |
| 22.0 | 4.035 | 8 | 1 1 1 |
| 25.5 | 3.495 | 2 | 2 0 0 |
| 36.4 | 2.471 | 57 | 2 2 0 |
| 42.9 | 2.107 | 100 | 3 1 1 |
| 44.9 | 2.018 | 19 | 2 2 2 |
| 57.5 | 1.604 | 2 | 3 3 1 |
| 65.4 | 1.427 | 20 | 4 2 2 |
| 69.9 | 1.345 | 30 | 5 1 1 |
| 77.2 | 1.236 | 22 | 4 4 0 |
| 88.5 | 1.105 | 9 | 6 2 0 |

Atomic structure:
```
data_DyNi4Ag
_chemical_formula_sum 'Dy4 Ni16 Ag4'
_space_group_name_H-M_alt 'F -4 3 m'
_space_group_IT_number 216
_space_group_name_Hall 'F -4 2 3'
_cell_length_a 6.990
_cell_length_b 6.990
_cell_length_c 6.990
_cell_angle_alpha 90.00
_cell_angle_beta 90.00
_cell_angle_gamma 90.00
loop_
_atom_site_label
_atom_site_fract_x
_atom_site_fract_y
_atom_site_fract_z
Dy1 0.000 0.000 0.000
Ni1 0.124 0.124 0.624
Ag1 0.250 0.250 0.250
```

***

Entry 2:
# ThZn2GaCu2
Theoretical XRD peak list, Cu Kα (weighted mean of Kα1 and Kα2). Input: a crystal structure in Alexandria, relaxed with GGA-PBE.
Kinematic intensities with the Lorentz-polarization factor, no thermal factor.

Top 10 peaks for 2θ = 10–90°, low angle first:
| 2θ/deg | d [Å] | I_rel | hkl |
| --- | --- | --- | --- |
| 19.9 | 4.459 | 29 | 1 0 0 |
| 25.3 | 3.521 | 25 | 1 0 1 |
| 28.3 | 3.153 | 49 | 1 1 0 |
| 32.4 | 2.763 | 71 | 1 1 1 |
| 37.3 | 2.413 | 100 | 1 0 2 |
| 40.5 | 2.229 | 70 | 2 0 0 |
| 52.0 | 1.760 | 26 | 2 0 2 |
| 56.2 | 1.637 | 70 | 2 1 2 |
| 58.6 | 1.576 | 23 | 2 2 0 |
| 85.5 | 1.135 | 24 | 3 2 2 |

Atomic structure:
```
data_ThZn2GaCu2
_chemical_formula_sum 'Th1 Zn2 Ga1 Cu2'
_space_group_name_H-M_alt 'P 4/m m m'
_space_group_IT_number 123
_space_group_name_Hall '-P 4 2'
_cell_length_a 4.459
_cell_length_b 4.459
_cell_length_c 5.738
_cell_angle_alpha 90.00
_cell_angle_beta 90.00
_cell_angle_gamma 90.00
loop_
_atom_site_label
_atom_site_fract_x
_atom_site_fract_y
_atom_site_fract_z
Th1 0.000 0.000 0.000
Zn1 0.500 0.500 0.231
Ga1 0.000 0.000 0.500
Cu1 0.000 0.500 0.500
```

***

Entry 3:
# YSb3
Theoretical XRD peak list, Cu Kα (weighted mean of Kα1 and Kα2). Input: a crystal structure in Alexandria, relaxed with GGA-PBE.
Kinematic intensities with the Lorentz-polarization factor, no thermal factor.

Top 10 peaks for 2θ = 10–90°, low angle first:
| 2θ/deg | d [Å] | I_rel | hkl |
| --- | --- | --- | --- |
| 29.7 | 3.006 | 26 | 2 0 0 |
| 33.3 | 2.689 | 100 | 2 1 0 |
| 36.6 | 2.454 | 59 | 2 1 1 |
| 52.7 | 1.736 | 11 | 2 2 2 |
| 55.1 | 1.667 | 23 | 3 2 0 |
| 57.3 | 1.607 | 31 | 3 2 1 |
| 61.7 | 1.503 | 14 | 4 0 0 |
| 72.0 | 1.312 | 21 | 4 2 1 |
| 87.3 | 1.116 | 19 | 5 2 0 |
| 89.2 | 1.098 | 9 | 5 2 1 |

Atomic structure:
```
data_YSb3
_chemical_formula_sum 'Y2 Sb6'
_space_group_name_H-M_alt 'P m -3 n'
_space_group_IT_number 223
_space_group_name_Hall '-P 4n 2 3'
_cell_length_a 6.012
_cell_length_b 6.012
_cell_length_c 6.012
_cell_angle_alpha 90.00
_cell_angle_beta 90.00
_cell_angle_gamma 90.00
loop_
_atom_site_label
_atom_site_fract_x
_atom_site_fract_y
_atom_site_fract_z
Y1 0.000 0.000 0.000
Sb1 0.000 0.250 0.500
```

***

Entry 4:
# Nb5Ge4Ru4
Theoretical XRD peak list, Cu Kα (weighted mean of Kα1 and Kα2). Input: a crystal structure in Alexandria, relaxed with GGA-PBE.
Kinematic intensities with the Lorentz-polarization factor, no thermal factor.

Top 10 peaks for 2θ = 10–90°, low angle first:
| 2θ/deg | d [Å] | I_rel | hkl |
| --- | --- | --- | --- |
| 11.9 | 7.414 | 11 | 1 1 0 |
| 34.9 | 2.572 | 13 | 3 0 1 |
| 38.4 | 2.345 | 15 | 2 4 0 |
| 39.0 | 2.309 | 100 | 2 3 1 |
| 42.8 | 2.113 | 20 | 4 1 1 |
| 44.0 | 2.056 | 25 | 5 1 0 |
| 47.9 | 1.900 | 21 | 0 0 2 |
| 49.7 | 1.836 | 11 | 3 4 1 |
| 67.1 | 1.395 | 14 | 5 1 2 |
| 82.6 | 1.168 | 15 | 8 3 1 |

Atomic structure:
```
data_Nb5Ge4Ru4
_chemical_formula_sum 'Nb10 Ge8 Ru8'
_space_group_name_H-M_alt 'I 4/m'
_space_group_IT_number 87
_space_group_name_Hall '-I 4'
_cell_length_a 10.485
_cell_length_b 10.485
_cell_length_c 3.800
_cell_angle_alpha 90.00
_cell_angle_beta 90.00
_cell_angle_gamma 90.00
loop_
_atom_site_label
_atom_site_fract_x
_atom_site_fract_y
_atom_site_fract_z
Nb1 0.000 0.000 0.000
Nb2 0.119 0.202 0.500
Ge1 0.068 0.755 0.000
Ru1 0.077 0.601 0.500
```